Entry 1:
Simulated XRD peak list of Cs2ScTlCl6 for a wavelength of 1.5418 Å, from a PBE-relaxed structure.

Structure:
```
10
Lattice="0.000 5.603 5.603 5.603 0.000 5.603 5.603 5.603 0.000" Properties=species:S:1:pos:R:3 pbc="T T T"
Cs 2.801 2.801 2.801
Cs 8.404 8.404 8.404
Sc 0.000 0.000 0.000
Tl 5.603 5.603 5.603
Cl 5.603 5.603 2.506
Cl 5.603 2.506 5.603
Cl 8.700 5.603 5.603
Cl 2.506 5.603 5.603
Cl 5.603 8.700 5.603
Cl 5.603 5.603 8.700
```

Largest 10 diffraction maxima, sorted by position, 2θ = 10–80°:
2θ 13.69, rel. 13; 2θ 22.44, rel. 100; 2θ 26.38, rel. 19; 2θ 31.95, rel. 54; 2θ 34.90, rel. 15; 2θ 39.39, rel. 44; 2θ 45.81, rel. 36; 2θ 51.58, rel. 25; 2θ 61.97, rel. 27; 2θ 75.95, rel. 14

---

Entry 2:
Simulated XRD peak list of Cs3SmCl6 for a wavelength of 1.5418 Å, from a PBE-relaxed structure.

Structure:
```
10
Lattice="0.000 5.988 5.988 5.988 0.000 5.988 5.988 5.988 0.000" Properties=species:S:1:pos:R:3 pbc="T T T"
Cs 0.000 0.000 0.000
Cs 2.994 2.994 2.994
Cs 8.983 8.983 8.983
Sm 5.988 5.988 5.988
Cl 5.988 5.988 3.287
Cl 5.988 3.287 5.988
Cl 8.690 5.988 5.988
Cl 3.287 5.988 5.988
Cl 5.988 8.690 5.988
Cl 5.988 5.988 8.690
```

Largest 10 diffraction maxima, sorted by position, 2θ = 10–80°:
2θ 20.98, rel. 100; 2θ 29.84, rel. 52; 2θ 36.76, rel. 46; 2θ 42.71, rel. 36; 2θ 48.05, rel. 25; 2θ 52.97, rel. 12; 2θ 57.59, rel. 28; 2θ 66.21, rel. 13; 2θ 70.30, rel. 15; 2θ 78.20, rel. 11

---

Entry 3:
Simulated XRD peak list of CsSm2Cl7 for a wavelength of 1.5418 Å, from a PBE-relaxed structure.

Structure:
```
40
Lattice="14.128 0.000 0.000 0.000 7.183 0.000 0.000 0.000 13.018" Properties=species:S:1:pos:R:3 pbc="T T T"
Cs 0.579 1.796 2.555
Cs 6.484 5.387 9.064
Cs 7.643 1.796 3.954
Cs 13.548 5.387 10.462
Sm 3.343 1.796 7.030
Sm 3.521 1.796 10.993
Sm 3.543 5.387 4.484
Sm 3.720 5.387 0.522
Sm 10.407 1.796 12.496
Sm 10.585 1.796 8.533
Sm 10.607 5.387 2.025
Sm 10.784 5.387 5.987
Cl 1.625 5.387 2.455
Cl 1.786 0.068 5.520
Cl 1.786 3.524 5.520
Cl 1.932 0.061 12.499
Cl 1.932 3.530 12.499
Cl 2.507 0.087 9.038
Cl 2.507 3.504 9.038
Cl 4.557 3.679 2.529
Cl 4.557 7.095 2.529
Cl 5.132 3.652 5.990
Cl 5.132 7.122 5.990
Cl 5.278 3.659 12.029
Cl 5.278 7.115 12.029
Cl 5.439 1.796 8.963
Cl 8.689 5.387 4.054
Cl 8.850 0.068 0.989
Cl 8.850 3.524 0.989
Cl 8.996 0.061 7.027
Cl 8.996 3.530 7.027
Cl 9.571 0.087 10.489
Cl 9.571 3.504 10.489
Cl 11.621 3.679 3.980
Cl 11.621 7.095 3.980
Cl 12.196 3.652 0.518
Cl 12.196 7.122 0.518
Cl 12.342 3.659 7.498
Cl 12.342 7.115 7.498
Cl 12.502 1.796 10.563
```

Largest 10 diffraction maxima, sorted by position, 2θ = 10–80°:
2θ 12.53, rel. 51; 2θ 18.89, rel. 100; 2θ 24.79, rel. 58; 2θ 30.66, rel. 17; 2θ 33.47, rel. 28; 2θ 35.65, rel. 33; 2θ 37.85, rel. 26; 2θ 40.10, rel. 28; 2θ 40.36, rel. 18; 2θ 42.11, rel. 20

---

Entry 4:
Simulated XRD peak list of CsSmCl3 for a wavelength of 1.5418 Å, from a PBE-relaxed structure.

Structure:
```
5
Lattice="5.500 0.000 0.000 0.000 5.500 0.000 0.000 0.000 5.500" Properties=species:S:1:pos:R:3 pbc="T T T"
Cs 0.000 0.000 0.000
Sm 2.750 2.750 2.750
Cl 0.000 2.750 2.750
Cl 2.750 0.000 2.750
Cl 2.750 2.750 0.000
```

Largest 10 diffraction maxima, sorted by position, 2θ = 10–80°:
2θ 16.12, rel. 7; 2θ 22.87, rel. 100; 2θ 32.56, rel. 52; 2θ 40.16, rel. 47; 2θ 46.72, rel. 37; 2θ 52.62, rel. 22; 2θ 58.10, rel. 12; 2θ 63.27, rel. 25; 2θ 72.98, rel. 12; 2θ 77.64, rel. 16

---

Entry 5:
Simulated XRD peak list of CsSrCl3 for a wavelength of 1.5418 Å, from a PBE-relaxed structure.

Structure:
```
10
Lattice="4.047 2.337 6.502 -4.047 2.337 6.502 0.000 -4.673 6.502" Properties=species:S:1:pos:R:3 pbc="T T T"
Cs 0.000 0.000 0.000
Cs 0.000 0.000 9.753
Sr 0.000 0.000 5.085
Sr 0.000 0.000 14.838
Cl -1.701 -1.617 6.806
Cl -3.497 -0.055 10.057
Cl -0.550 2.281 6.806
Cl 1.797 -3.001 10.057
Cl 2.251 -0.664 6.806
Cl 1.701 3.057 10.057
```

Largest 10 diffraction maxima, sorted by position, 2θ = 10–80°:
2θ 21.96, rel. 84; 2θ 22.21, rel. 93; 2θ 27.03, rel. 27; 2θ 31.43, rel. 100; 2θ 38.53, rel. 35; 2θ 38.68, rel. 51; 2θ 39.12, rel. 22; 2θ 44.79, rel. 28; 2θ 45.31, rel. 31; 2θ 50.90, rel. 21

---

Entry 6:
Simulated XRD peak list of CsSrCl3 for a wavelength of 1.5418 Å, from a PBE-relaxed structure.

Structure:
```
10
Lattice="8.072 0.000 0.000 0.000 8.072 0.000 0.000 0.000 5.731" Properties=species:S:1:pos:R:3 pbc="T T T"
Cs 0.000 4.036 0.000
Cs 4.036 0.000 0.000
Sr 0.000 0.000 2.865
Sr 4.036 4.036 2.865
Cl 0.000 0.000 0.000
Cl 1.832 2.204 2.865
Cl 2.204 6.241 2.865
Cl 4.036 4.036 0.000
Cl 5.868 1.832 2.865
Cl 6.241 5.868 2.865
```

Largest 10 diffraction maxima, sorted by position, 2θ = 10–80°:
2θ 21.99, rel. 100; 2θ 27.02, rel. 28; 2θ 31.22, rel. 23; 2θ 31.34, rel. 43; 2θ 38.58, rel. 50; 2θ 44.85, rel. 45; 2θ 50.56, rel. 15; 2θ 55.71, rel. 15; 2θ 60.59, rel. 19; 2θ 74.28, rel. 12

---

Entry 7:
Simulated XRD peak list of CsSrCl3 for a wavelength of 1.5418 Å, from a PBE-relaxed structure.

Structure:
```
20
Lattice="8.198 0.000 0.000 0.000 11.339 0.000 0.000 0.000 7.884" Properties=species:S:1:pos:R:3 pbc="T T T"
Cs 0.483 2.835 0.142
Cs 3.616 8.504 4.084
Cs 4.582 2.835 3.800
Cs 7.715 8.504 7.742
Sr 0.000 0.000 3.942
Sr 0.000 5.669 3.942
Sr 4.099 0.000 0.000
Sr 4.099 5.669 0.000
Cl 0.176 8.504 3.310
Cl 1.714 6.136 6.265
Cl 1.714 10.872 6.265
Cl 2.385 0.467 2.323
Cl 2.385 5.203 2.323
Cl 3.923 2.835 7.253
Cl 4.275 8.504 0.632
Cl 5.813 6.136 5.562
Cl 5.813 10.872 5.562
Cl 6.484 0.467 1.619
Cl 6.484 5.203 1.619
Cl 8.022 2.835 4.574
```

Largest 10 diffraction maxima, sorted by position, 2θ = 10–80°:
2θ 21.68, rel. 22; 2θ 22.15, rel. 100; 2θ 22.55, rel. 24; 2θ 31.52, rel. 75; 2θ 35.66, rel. 17; 2θ 38.31, rel. 14; 2θ 38.62, rel. 14; 2θ 39.14, rel. 16; 2θ 39.35, rel. 34; 2θ 45.18, rel. 26

---

Entry 8:
Simulated XRD peak list of CsSrCl3 for a wavelength of 1.5418 Å, from a PBE-relaxed structure.

Structure:
```
5
Lattice="5.729 0.000 0.000 0.000 5.729 0.000 0.000 0.000 5.729" Properties=species:S:1:pos:R:3 pbc="T T T"
Cs 0.000 0.000 0.000
Sr 2.865 2.865 2.865
Cl 0.000 2.865 2.865
Cl 2.865 0.000 2.865
Cl 2.865 2.865 0.000
```

Largest 10 diffraction maxima, sorted by position, 2θ = 10–80°:
2θ 21.94, rel. 100; 2θ 26.95, rel. 29; 2θ 31.22, rel. 68; 2θ 38.49, rel. 48; 2θ 44.74, rel. 47; 2θ 50.36, rel. 22; 2θ 55.56, rel. 16; 2θ 60.46, rel. 26; 2θ 69.62, rel. 13; 2θ 73.99, rel. 20

---

Entry 9:
Simulated XRD peak list of CsSrCl3 for a wavelength of 1.5418 Å, from a PBE-relaxed structure.

Structure:
```
5
Lattice="4.046 -4.057 0.000 4.046 4.057 0.000 -0.022 0.000 5.730" Properties=species:S:1:pos:R:3 pbc="T T T"
Cs 0.000 0.000 0.000
Sr 4.051 0.000 2.816
Cl 2.011 2.012 2.790
Cl 2.011 -2.012 2.790
Cl 4.098 0.000 5.679
```

Largest 10 diffraction maxima, sorted by position, 2θ = 10–80°:
2θ 21.94, rel. 100; 2θ 26.93, rel. 22; 2θ 31.22, rel. 68; 2θ 38.45, rel. 36; 2θ 38.57, rel. 12; 2θ 44.67, rel. 24; 2θ 44.80, rel. 23; 2θ 50.36, rel. 22; 2θ 55.50, rel. 12; 2θ 60.37, rel. 13

---

Entry 10:
Simulated XRD peak list of CsSrTa6Cl18 for a wavelength of 1.5418 Å, from a PBE-relaxed structure.

Structure:
```
52
Lattice="9.543 0.000 0.000 -4.772 8.265 0.000 0.000 0.000 17.762" Properties=species:S:1:pos:R:3 pbc="T T T"
Cs 0.000 5.510 4.440
Cs 4.772 2.755 13.321
Sr 0.000 5.510 13.321
Sr 4.772 2.755 4.440
Ta -0.576 1.598 16.563
Ta -3.676 6.967 10.080
Ta 0.576 1.598 10.080
Ta -3.100 7.965 16.563
Ta 1.672 0.300 7.682
Ta 1.096 1.298 1.199
Ta 3.676 6.967 16.563
Ta 3.100 7.965 10.080
Ta 7.871 0.300 1.199
Ta 4.196 6.667 7.682
Ta 8.448 1.298 7.682
Ta 5.348 6.667 1.199
Cl -0.679 1.871 2.797
Cl -3.491 6.741 6.084
Cl -1.371 3.553 15.028
Cl -2.380 5.301 11.615
Cl -0.622 3.380 8.889
Cl -2.155 6.036 17.754
Cl 0.679 1.871 6.084
Cl -2.812 7.917 2.797
Cl 1.960 0.348 11.678
Cl 1.281 1.523 14.965
Cl 0.622 3.380 17.754
Cl -1.533 7.113 8.889
Cl 1.371 3.553 11.615
Cl -1.009 7.675 15.028
Cl 3.238 1.152 0.008
Cl 2.617 2.229 8.873
Cl 3.762 0.590 6.147
Cl 2.392 2.963 2.734
Cl 2.380 5.301 15.028
Cl 1.009 7.675 11.615
Cl 2.155 6.036 8.889
Cl 1.533 7.113 17.754
Cl 5.781 0.590 2.734
Cl 3.401 4.712 6.147
Cl 6.305 1.152 8.873
Cl 4.150 4.884 0.008
Cl 3.491 6.741 2.797
Cl 2.812 7.917 6.084
Cl 7.584 0.348 14.965
Cl 4.093 6.394 11.678
Cl 6.927 2.229 0.008
Cl 5.394 4.884 8.873
Cl 7.152 2.963 6.147
Cl 6.142 4.712 2.734
Cl 8.262 1.523 11.678
Cl 5.451 6.394 14.965
```

Largest 10 diffraction maxima, sorted by position, 2θ = 10–80°:
2θ 10.70, rel. 100; 2θ 14.64, rel. 69; 2θ 21.14, rel. 14; 2θ 28.57, rel. 14; 2θ 35.12, rel. 37; 2θ 39.09, rel. 11; 2θ 42.09, rel. 29; 2θ 43.04, rel. 17; 2θ 44.48, rel. 9; 2θ 50.40, rel. 10

---

Entry 11:
Simulated XRD peak list of Cs2TaCl6 for a wavelength of 1.5418 Å, from a PBE-relaxed structure.

Structure:
```
9
Lattice="0.000 5.347 5.347 5.347 0.000 5.347 5.347 5.347 0.000" Properties=species:S:1:pos:R:3 pbc="T T T"
Cs 2.673 2.673 2.673
Cs 8.020 8.020 8.020
Ta 0.000 0.000 0.000
Cl 5.347 5.347 2.425
Cl 5.347 2.425 5.347
Cl 8.269 5.347 5.347
Cl 2.425 5.347 5.347
Cl 5.347 8.269 5.347
Cl 5.347 5.347 8.269
```

Largest 10 diffraction maxima, sorted by position, 2θ = 10–80°:
2θ 14.35, rel. 69; 2θ 23.53, rel. 100; 2θ 27.67, rel. 28; 2θ 28.92, rel. 25; 2θ 33.52, rel. 61; 2θ 41.36, rel. 44; 2θ 44.00, rel. 17; 2θ 48.13, rel. 41; 2θ 54.25, rel. 24; 2θ 65.30, rel. 26